1.
TaNbMo: simulated X-ray diffraction stick pattern (Cu Kα), based on a crystal structure in the Materials Project, relaxed with PBE.

Main lines, in order of falling intensity (2θ from 15° to 90°):
2theta	Rel. int.
39.05	100.0
38.30	26.5
39.55	23.7
69.75	17.8
56.24	16.8
71.42	16.0
83.90	10.8
70.42	8.7
56.60	8.4
71.25	8.3

Atomic structure:
```
TaNbMo
1.0
0.000 2.350 6.835
1.626 0.000 6.835
1.626 2.350 0.000
Ta Nb Mo
1 1 1
Direct
0.000 0.000 0.000
0.324 0.324 0.676
0.661 0.661 0.339
```

---

2.
UIrPt4: simulated X-ray diffraction stick pattern (Cu Kα), based on a crystal structure in the Materials Project, relaxed with PBE.

Main lines, in order of falling intensity (2θ from 15° to 90°):
2theta	Rel. int.
40.08	100.0
41.94	37.6
64.93	33.1
33.98	29.4
71.52	28.5
86.51	14.9
85.29	12.2
60.81	11.4
81.59	5.2
48.82	3.8

Atomic structure:
```
UIrPt4
1.0
0.000 3.731 3.731
3.731 0.000 3.731
3.731 3.731 0.000
U Ir Pt
1 1 4
Direct
0.000 0.000 0.000
0.750 0.750 0.750
0.375 0.375 0.375
0.375 0.375 0.874
0.375 0.874 0.375
0.874 0.375 0.375
```

---

3.
LuU4S5O4: simulated X-ray diffraction stick pattern (Cu Kα), based on a crystal structure in the Materials Project, relaxed with PBE.

Main lines, in order of falling intensity (2θ from 15° to 90°):
2theta	Rel. int.
26.83	100.0
33.43	51.1
42.70	35.7
55.85	28.7
25.79	25.0
48.01	22.8
37.18	19.6
33.22	15.2
46.12	13.2
55.29	13.1

Atomic structure:
```
LuU4S5O4
1.0
-1.895 1.895 17.271
1.895 -1.895 17.271
1.895 1.895 -17.271
Lu U S O
1 4 5 4
Direct
0.000 0.000 0.000
0.192 0.192 0.000
0.386 0.386 0.000
0.614 0.614 0.000
0.808 0.808 0.000
0.077 0.077 0.000
0.277 0.277 0.000
0.500 0.500 0.000
0.723 0.723 0.000
0.923 0.923 0.000
0.151 0.651 0.500
0.349 0.849 0.500
0.651 0.151 0.500
0.849 0.349 0.500
```

---

4.
SbSI: simulated X-ray diffraction stick pattern (Cu Kα), based on a crystal structure in the Materials Project, relaxed with PBE.

Main lines, in order of falling intensity (2θ from 15° to 90°):
2theta	Rel. int.
28.95	100.0
19.40	35.4
46.11	24.8
30.28	20.0
33.14	19.5
43.69	15.4
19.21	14.8
30.47	14.7
25.62	14.0
44.93	13.5

Atomic structure:
```
SbSI
1.0
9.151 0.000 0.000
0.000 10.703 0.000
0.000 0.000 4.143
Sb S I
4 4 4
Direct
0.104 0.122 0.000
0.396 0.622 0.500
0.604 0.378 0.000
0.896 0.878 0.500
0.150 0.960 0.486
0.350 0.460 0.986
0.650 0.540 0.486
0.850 0.040 0.986
0.010 0.682 0.980
0.490 0.182 0.480
0.510 0.818 0.980
0.990 0.318 0.480
```

---

5.
KSb2PO8: simulated X-ray diffraction stick pattern (Cu Kα), based on a crystal structure in the Materials Project, relaxed with PBE.

Main lines, in order of falling intensity (2θ from 15° to 90°):
2theta	Rel. int.
30.50	100.0
26.20	54.5
28.97	39.1
15.09	36.9
19.35	28.6
22.05	24.4
24.76	23.6
32.18	21.9
49.99	21.8
28.40	20.3

Atomic structure:
```
KSb2PO8
1.0
6.264 -3.596 0.000
6.264 3.596 0.000
-1.589 0.000 15.178
K Sb P O
4 8 4 32
Direct
0.120 0.880 0.500
0.180 0.937 0.769
0.880 0.120 0.000
0.937 0.180 0.269
0.152 0.406 0.630
0.218 0.482 0.946
0.406 0.152 0.130
0.482 0.218 0.446
0.573 0.835 0.320
0.649 0.903 0.636
0.835 0.573 0.820
0.903 0.649 0.136
0.315 0.539 0.277
0.515 0.741 0.989
0.539 0.315 0.777
0.741 0.515 0.489
0.011 0.366 0.725
0.025 0.696 0.856
0.026 0.360 0.911
0.049 0.686 0.042
0.089 0.333 0.130
0.098 0.700 0.230
0.275 0.431 0.351
0.278 0.442 0.527
0.333 0.089 0.630
0.354 0.955 0.037
0.360 0.026 0.411
0.366 0.011 0.225
0.368 0.466 0.708
0.378 0.648 0.946
0.412 0.673 0.321
0.431 0.275 0.851
0.442 0.278 0.027
0.466 0.368 0.208
0.587 0.691 0.555
0.614 0.769 0.737
0.620 0.784 0.915
0.648 0.378 0.446
0.673 0.412 0.821
0.686 0.049 0.542
0.691 0.587 0.055
0.696 0.025 0.356
0.700 0.098 0.730
0.723 0.967 0.136
0.769 0.614 0.237
0.784 0.620 0.415
0.955 0.354 0.537
0.967 0.723 0.636
```

---

6.
LiNdTi2O6: simulated X-ray diffraction stick pattern (Cu Kα), based on a crystal structure in the Materials Project, relaxed with PBE.

Main lines, in order of falling intensity (2θ from 15° to 90°):
2theta	Rel. int.
32.62	100.0
25.95	97.5
33.26	60.4
59.03	45.9
47.75	39.4
35.19	33.1
40.50	25.8
45.84	25.3
48.27	23.7
55.14	23.6

Atomic structure:
```
LiNdTi2O6
1.0
5.387 0.000 0.000
0.000 5.387 0.000
0.000 0.000 7.919
Li Nd Ti O
2 2 4 12
Direct
0.250 0.750 0.000
0.750 0.250 0.000
0.250 0.750 0.500
0.750 0.250 0.500
0.250 0.250 0.236
0.250 0.250 0.764
0.750 0.750 0.236
0.750 0.750 0.764
0.056 0.556 0.258
0.056 0.944 0.742
0.250 0.250 0.000
0.250 0.250 0.500
0.444 0.556 0.742
0.444 0.944 0.258
0.556 0.056 0.742
0.556 0.444 0.258
0.750 0.750 0.000
0.750 0.750 0.500
0.944 0.056 0.258
0.944 0.444 0.742
```

---

7.
La3Cu3Bi4: simulated X-ray diffraction stick pattern (Cu Kα), based on a crystal structure in the Materials Project, relaxed with PBE.

Main lines, in order of falling intensity (2θ from 15° to 90°):
2theta	Rel. int.
33.04	100.0
27.81	61.4
43.71	24.4
45.59	24.2
39.73	18.1
55.86	18.0
57.45	15.8
89.61	13.1
59.01	12.8
67.89	12.2

Atomic structure:
```
La3Cu3Bi4
1.0
-5.073 5.073 5.073
5.073 -5.073 5.073
5.073 5.073 -5.073
La Cu Bi
6 6 8
Direct
0.125 0.875 0.250
0.250 0.125 0.875
0.375 0.625 0.750
0.625 0.750 0.375
0.750 0.375 0.625
0.875 0.250 0.125
0.125 0.750 0.875
0.250 0.625 0.375
0.375 0.250 0.625
0.625 0.375 0.250
0.750 0.875 0.125
0.875 0.125 0.750
0.000 0.158 0.500
0.000 0.658 0.500
0.158 0.500 0.000
0.342 0.342 0.342
0.500 0.000 0.158
0.500 0.000 0.658
0.658 0.500 0.000
0.842 0.842 0.842
```

---

8.
TiBe12: simulated X-ray diffraction stick pattern (Cu Kα), based on a crystal structure in the Materials Project, relaxed with PBE.

Main lines, in order of falling intensity (2θ from 15° to 90°):
2theta	Rel. int.
17.10	100.0
34.89	99.9
24.68	84.8
49.94	84.5
42.95	55.3
50.62	49.5
38.82	39.5
49.72	35.4
24.27	31.1
34.59	22.0

Atomic structure:
```
TiBe12
1.0
-3.668 3.668 2.071
3.668 -3.668 2.071
3.668 3.668 -2.071
Ti Be
1 12
Direct
0.000 0.000 0.000
0.000 0.000 0.500
0.000 0.351 0.351
0.000 0.500 0.000
0.000 0.649 0.649
0.282 0.500 0.782
0.351 0.000 0.351
0.500 0.000 0.000
0.500 0.282 0.782
0.500 0.500 0.500
0.500 0.718 0.218
0.649 0.000 0.649
0.718 0.500 0.218
```

---

9.
Zr2N2O: simulated X-ray diffraction stick pattern (Cu Kα), based on a crystal structure in the Materials Project, relaxed with PBE.

Main lines, in order of falling intensity (2θ from 15° to 90°):
2theta	Rel. int.
31.45	100.0
30.93	25.1
32.31	22.5
55.42	18.9
57.02	11.6
57.15	11.3
44.81	10.7
45.23	10.4
45.44	10.1
56.32	10.1

Atomic structure:
```
Zr2N2O
1.0
5.541 0.000 0.000
-0.025 5.783 0.000
0.000 -0.013 16.182
Zr N O
16 16 8
Direct
0.000 0.000 0.000
0.000 0.041 0.762
0.003 0.453 0.616
0.007 0.999 0.502
0.009 0.544 0.112
0.015 0.500 0.871
0.017 0.508 0.374
0.495 0.983 0.878
0.512 0.012 0.374
0.516 0.954 0.609
0.518 0.042 0.113
0.518 0.498 0.502
0.521 0.497 0.001
0.522 0.543 0.759
0.538 0.452 0.257
0.988 0.951 0.257
0.166 0.358 0.485
0.171 0.642 0.986
0.219 0.774 0.809
0.357 0.140 0.986
0.362 0.859 0.487
0.646 0.085 0.240
0.659 0.374 0.387
0.663 0.630 0.888
0.717 0.226 0.566
0.717 0.771 0.066
0.809 0.270 0.067
0.809 0.728 0.568
0.860 0.127 0.887
0.867 0.873 0.388
0.871 0.411 0.739
0.881 0.585 0.239
0.163 0.917 0.141
0.165 0.083 0.641
0.209 0.223 0.311
0.317 0.723 0.312
0.320 0.265 0.809
0.363 0.417 0.140
0.364 0.578 0.639
0.656 0.907 0.736
```

---

10.
GeP: simulated X-ray diffraction stick pattern (Cu Kα), based on a crystal structure in the Materials Project, relaxed with PBE.

Main lines, in order of falling intensity (2θ from 15° to 90°):
2theta	Rel. int.
30.03	100.0
27.20	89.8
32.80	59.9
33.90	58.2
44.66	50.5
33.78	49.0
49.49	44.8
46.83	38.2
20.35	36.6
49.16	34.0

Atomic structure:
```
GeP
1.0
7.759 -1.842 0.000
7.759 1.842 0.000
-2.031 0.000 9.174
Ge P
6 6
Direct
0.070 0.070 0.094
0.253 0.253 0.713
0.373 0.373 0.574
0.627 0.627 0.426
0.747 0.747 0.287
0.930 0.930 0.906
0.036 0.036 0.333
0.342 0.342 0.951
0.345 0.345 0.316
0.655 0.655 0.684
0.658 0.658 0.049
0.964 0.964 0.667
```

---

11.
Ti7O8: simulated X-ray diffraction stick pattern (Cu Kα), based on a crystal structure in the Materials Project, relaxed with PBE.

Main lines, in order of falling intensity (2θ from 15° to 90°):
2theta	Rel. int.
42.32	100.0
43.09	96.6
44.14	94.3
23.82	71.2
37.05	59.1
37.29	56.2
63.39	51.9
62.81	47.5
24.72	27.3
61.66	26.5

Atomic structure:
```
Ti7O8
1.0
4.777 -2.052 0.000
4.777 2.052 0.000
-2.933 0.000 8.447
Ti O
7 8
Direct
0.000 0.000 0.000
0.008 0.008 0.330
0.017 0.017 0.628
0.331 0.331 0.765
0.674 0.674 0.545
0.687 0.687 0.206
0.700 0.700 0.886
0.164 0.164 0.871
0.192 0.192 0.532
0.516 0.516 0.667
0.520 0.520 0.982
0.535 0.535 0.318
0.841 0.841 0.423
0.848 0.848 0.107
0.857 0.857 0.754
```